[1]
# GaAgS2
Theoretical powder diffraction line list, Cu Kα, 1.54184 Å. Input: DFT lattice parameters and positions (GGA-PBE).
Intensities are scaled so that the largest is 100.

Most intense lines, 5° ≤ 2θ ≤ 70°, in order of rising 2θ:
d (Å)	2theta	I_rel
3.467	25.7	32
3.096	28.8	100
2.998	29.8	41
2.682	33.4	21
2.502	35.9	37
2.155	41.9	71
2.000	45.3	31
1.808	50.5	50
1.733	52.8	11
1.603	57.5	21
1.561	59.2	12
1.385	67.6	18

Structural model:
a = 3.615 Å, b = 3.615 Å, c = 20.800 Å
α = 90.00°, β = 90.00°, γ = 120.00°
Sites, in units of the cell vectors:
Ga1 0.000 0.000 0.000
Ga2 0.333 0.667 0.667
Ga3 0.667 0.333 0.333
Ag1 0.000 0.000 0.844
Ag2 0.333 0.667 0.511
Ag3 0.667 0.333 0.178
S1 0.000 0.000 0.264
S2 0.000 0.000 0.727
S3 0.333 0.667 0.394
S4 0.333 0.667 0.930
S5 0.667 0.333 0.061
S6 0.667 0.333 0.597

=====

[2]
# Li2BeH4
Theoretical powder diffraction line list, Cu Kα, 1.54184 Å. Input: DFT lattice parameters and positions (GGA-PBE).
Intensities are scaled so that the largest is 100.

Most intense lines, 5° ≤ 2θ ≤ 70°, in order of rising 2θ:
d (Å)	2theta	I_rel
3.663	24.3	37
3.492	25.5	66
2.919	30.6	60
2.756	32.5	100
2.555	35.1	72
2.500	35.9	53
2.402	37.4	65
2.291	39.3	65
2.197	41.1	30
2.130	42.4	33
2.024	44.8	33
1.603	57.5	26

Structural model:
a = 6.997 Å, b = 8.237 Å, c = 8.291 Å
α = 90.00°, β = 93.64°, γ = 90.00°
Sites, in units of the cell vectors:
Li1 0.084 0.071 0.292
Li2 0.084 0.429 0.792
Li3 0.186 0.076 0.942
Li4 0.186 0.424 0.442
Li5 0.338 0.085 0.591
Li6 0.338 0.415 0.091
Li7 0.380 0.714 0.581
Li8 0.380 0.786 0.081
Li9 0.620 0.214 0.919
Li10 0.620 0.286 0.419
Li11 0.662 0.585 0.909
Li12 0.662 0.915 0.409
Li13 0.814 0.576 0.558
Li14 0.814 0.924 0.058
Li15 0.916 0.571 0.208
Li16 0.916 0.929 0.708
Be1 0.017 0.706 0.936
Be2 0.017 0.794 0.436
Be3 0.464 0.069 0.198
Be4 0.464 0.431 0.698
Be5 0.536 0.569 0.302
Be6 0.536 0.931 0.802
Be7 0.983 0.206 0.564
Be8 0.983 0.294 0.064
H1 0.045 0.129 0.714
H2 0.045 0.371 0.214
H3 0.054 0.625 0.409
H4 0.054 0.875 0.909
H5 0.147 0.202 0.468
H6 0.147 0.298 0.968
H7 0.173 0.627 0.022
H8 0.173 0.873 0.522
H9 0.282 0.501 0.649
H10 0.282 0.999 0.149
H11 0.401 0.057 0.826
H12 0.401 0.443 0.326
H13 0.473 0.093 0.371
H14 0.473 0.407 0.871
H15 0.498 0.716 0.383
H16 0.498 0.784 0.883
H17 0.502 0.216 0.117
H18 0.502 0.284 0.617
H19 0.527 0.593 0.129
H20 0.527 0.907 0.629
H21 0.599 0.557 0.674
H22 0.599 0.943 0.174
H23 0.718 0.001 0.851
H24 0.718 0.499 0.351
H25 0.827 0.127 0.478
H26 0.827 0.373 0.978
H27 0.853 0.702 0.032
H28 0.853 0.798 0.532
H29 0.946 0.125 0.091
H30 0.946 0.375 0.591
H31 0.955 0.629 0.786
H32 0.955 0.871 0.286

=====

[3]
# Ba5Gd8Zn4O21
Theoretical powder diffraction line list, Cu Kα, 1.54184 Å. Input: DFT lattice parameters and positions (GGA-PBE).
Intensities are scaled so that the largest is 100.

Most intense lines, 5° ≤ 2θ ≤ 70°, in order of rising 2θ:
d (Å)	2theta	I_rel
3.237	27.6	43
3.142	28.4	14
2.940	30.4	100
2.908	30.7	41
2.530	35.5	31
2.410	37.3	14
2.134	42.4	17
2.000	45.3	18
1.948	46.6	10
1.855	49.1	12
1.685	54.5	20
1.641	56.1	11

Structural model:
a = 10.352 Å, b = 10.352 Å, c = 10.352 Å
α = 94.53°, β = 94.53°, γ = 147.37°
Sites, in units of the cell vectors:
Ba1 0.000 0.000 0.000
Ba2 0.138 0.467 0.605
Ba3 0.467 0.862 0.328
Ba4 0.533 0.138 0.672
Ba5 0.862 0.533 0.395
Gd1 0.167 0.753 0.920
Gd2 0.247 0.167 0.415
Gd3 0.357 0.589 0.946
Gd4 0.411 0.357 0.768
Gd5 0.589 0.643 0.232
Gd6 0.643 0.411 0.054
Gd7 0.753 0.833 0.585
Gd8 0.833 0.247 0.080
Zn1 0.041 0.252 0.293
Zn2 0.252 0.959 0.211
Zn3 0.748 0.041 0.789
Zn4 0.959 0.748 0.707
O1 0.013 0.606 0.111
O2 0.035 0.626 0.661
O3 0.070 0.202 0.775
O4 0.099 0.987 0.594
O5 0.202 0.427 0.132
O6 0.295 0.070 0.868
O7 0.374 0.035 0.408
O8 0.394 0.505 0.406
O9 0.427 0.295 0.225
O10 0.495 0.901 0.889
O11 0.500 0.500 0.000
O12 0.505 0.099 0.111
O13 0.573 0.705 0.775
O14 0.606 0.495 0.594
O15 0.626 0.965 0.592
O16 0.705 0.930 0.132
O17 0.798 0.573 0.868
O18 0.901 0.013 0.406
O19 0.930 0.798 0.225
O20 0.965 0.374 0.339
O21 0.987 0.394 0.889